1.
GeH6CI3N: calculated XRD peak list (a wavelength of 1.5418 Å), based on a cell relaxed with PBE.
Neutral-atom scattering factors, no anomalous dispersion.

Cell and atoms:
```
GeH6CI3N
1.0
8.7788 0.0000 0.0000
-0.1685 8.8286 0.0000
-0.5212 -0.5799 12.8572
Ge H C I N
4 24 4 12 4
Direct
0.0000 0.0000 0.0000
0.0549 0.9438 0.4999
0.4972 0.4838 0.0003
0.5533 0.4552 0.4989
0.0700 0.5681 0.8536
0.1045 0.5459 0.1647
0.1171 0.5429 0.6692
0.1249 0.5297 0.3525
0.1335 0.3557 0.2968
0.1683 0.3744 0.7343
0.4152 0.8720 0.7993
0.4293 0.0893 0.2062
0.4628 0.0429 0.8507
0.4692 0.9218 0.3512
0.4723 0.9000 0.1616
0.4763 0.0412 0.6611
0.5874 0.9009 0.8575
0.6049 0.0592 0.3561
0.6098 0.8900 0.6690
0.6180 0.0460 0.1667
0.6449 0.8840 0.3162
0.6603 0.0751 0.7248
0.9031 0.5677 0.7849
0.9306 0.6006 0.2234
0.9446 0.4153 0.1616
0.9539 0.4141 0.8465
0.9742 0.4093 0.3516
0.9918 0.3793 0.6590
0.0064 0.5065 0.2068
0.0739 0.4455 0.7097
0.5169 0.0028 0.2037
0.5673 0.9920 0.7086
0.0182 0.0302 0.2119
0.0722 0.9329 0.7112
0.2763 0.7080 0.9730
0.2900 0.7416 0.4572
0.2980 0.2356 0.9593
0.3161 0.2385 0.4830
0.5048 0.4923 0.2118
0.5780 0.4995 0.7104
0.7784 0.7628 0.9795
0.7884 0.2454 0.4711
0.7966 0.2313 0.9595
0.8175 0.7320 0.4589
0.0630 0.4469 0.3076
0.5048 0.9494 0.8095
0.5611 0.9650 0.3125
0.9957 0.5024 0.8039
```

Largest 10 diffraction maxima, by angle, 2θ = 10–80°:
index	2θ/deg	I/Imax
0 0 2	13.77	59.9
1 -1 0	14.09	44.8
1 1 0	14.39	49.0
0 2 -2	23.95	58.1
2 0 -2	24.09	58.5
2 0 2	25.02	100.0
0 0 4	27.75	70.6
2 -2 0	28.40	66.7
2 2 0	29.02	72.7
2 2 4	41.85	27.5

2.
Pr2SmTm4Sc: calculated XRD peak list (a wavelength of 1.5418 Å), based on a cell relaxed with PBE.
Neutral-atom scattering factors, no anomalous dispersion.

Cell and atoms:
```
Pr2SmTm4Sc
1.0
5.0200 0.0000 0.0000
0.0000 5.0200 0.0000
0.0000 0.0000 9.9249
Pr Sm Tm Sc
2 1 4 1
Direct
0.0000 0.0000 0.0000
0.5000 0.5000 0.5000
0.0000 0.0000 0.5000
0.0000 0.5000 0.2443
0.0000 0.5000 0.7557
0.5000 0.0000 0.2443
0.5000 0.0000 0.7557
0.5000 0.5000 0.0000
```

Largest 10 diffraction maxima, by angle, 2θ = 10–80°:
index	2θ/deg	I/Imax
0 0 2	17.87	2.5
1 1 2	30.97	100.0
2 0 0	35.77	34.2
0 0 4	36.20	16.3
2 2 0	51.49	12.1
2 0 4	51.81	23.5
3 1 2	61.31	28.5
1 1 6	61.88	13.5
2 2 4	64.56	12.1
4 0 0	75.80	3.8

3.
Ba3SmPu2O9: calculated XRD peak list (a wavelength of 1.5418 Å), based on a cell relaxed with PBE.
Neutral-atom scattering factors, no anomalous dispersion.

Cell and atoms:
```
Ba3SmPu2O9
1.0
6.2567 0.0000 0.0000
-3.1284 5.4185 0.0000
0.0000 0.0000 7.6610
Ba Sm Pu O
3 1 2 9
Direct
0.0000 0.0000 0.0000
0.3333 0.6667 0.6597
0.6667 0.3333 0.3403
0.0000 0.0000 0.5000
0.3333 0.6667 0.1633
0.6667 0.3333 0.8367
0.0000 0.5000 0.0000
0.1726 0.3451 0.3257
0.1726 0.8274 0.3257
0.3451 0.1726 0.6743
0.5000 0.0000 0.0000
0.5000 0.5000 0.0000
0.6549 0.8274 0.3257
0.8274 0.1726 0.6743
0.8274 0.6549 0.6743
```

Largest 10 diffraction maxima, by angle, 2θ = 10–80°:
index	2θ/deg	I/Imax
1 0 0	16.36	1.5
1 0 1	20.07	10.3
1 1 0	28.54	100.0
2 0 2	40.80	27.9
1 1 3	45.87	4.7
3 0 0	50.54	42.4
2 2 0	59.06	18.0
3 0 3	63.04	2.3
3 1 2	66.88	18.8
0 4 2	74.27	6.1

4.
TbEr2Tl9: calculated XRD peak list (a wavelength of 1.5418 Å), based on a cell relaxed with PBE.
Neutral-atom scattering factors, no anomalous dispersion.

Cell and atoms:
```
TbEr2Tl9
1.0
4.7595 0.0000 0.0000
0.0000 4.7595 0.0000
0.0000 0.0000 14.2782
Tb Er Tl
1 2 9
Direct
0.0000 0.0000 0.0000
0.0000 0.0000 0.3334
0.0000 0.0000 0.6666
0.0000 0.5000 0.1678
0.0000 0.5000 0.5000
0.0000 0.5000 0.8322
0.5000 0.0000 0.1678
0.5000 0.0000 0.5000
0.5000 0.0000 0.8322
0.5000 0.5000 0.0000
0.5000 0.5000 0.3338
0.5000 0.5000 0.6662
```

Largest 7 diffraction maxima, by angle, 2θ = 10–80°:
index	2θ/deg	I/Imax
1 0 0	18.64	0.6
1 1 0	26.48	0.6
1 1 3	32.59	100.0
2 0 0	37.80	50.5
2 2 0	54.53	35.6
3 1 3	64.99	42.2
2 2 6	68.26	12.2

5.
YAl2Fe2Si: calculated XRD peak list (a wavelength of 1.5418 Å), based on a cell relaxed with PBE.
Neutral-atom scattering factors, no anomalous dispersion.

Cell and atoms:
```
YAl2Fe2Si
1.0
4.2128 0.0000 0.0000
0.0000 4.2128 0.0000
0.0000 0.0000 5.5851
Y Al Fe Si
1 2 2 1
Direct
0.0000 0.0000 0.0000
0.5000 0.5000 0.2447
0.5000 0.5000 0.7553
0.0000 0.5000 0.5000
0.5000 0.0000 0.5000
0.0000 0.0000 0.5000
```

Largest 10 diffraction maxima, by angle, 2θ = 10–80°:
index	2θ/deg	I/Imax
1 0 0	21.09	22.2
1 0 1	26.50	20.9
0 0 2	32.05	30.2
1 1 1	34.11	100.0
1 0 2	38.68	63.1
2 0 0	42.94	65.7
2 0 2	54.57	24.5
2 1 2	59.16	35.2
2 2 0	62.34	20.5
3 1 1	73.01	18.9

6.
LiPH3NO3: calculated XRD peak list (a wavelength of 1.5418 Å), based on a cell relaxed with PBE.
Neutral-atom scattering factors, no anomalous dispersion.

Cell and atoms:
```
LiPH3NO3
1.0
4.9224 0.0000 0.0000
-0.5778 8.5378 0.0000
-2.0970 -1.8721 8.4851
Li P H N O
4 4 12 4 12
Direct
0.1345 0.1393 0.4988
0.1932 0.4308 0.0741
0.8068 0.5692 0.9259
0.8655 0.8607 0.5012
0.3975 0.7740 0.0075
0.4832 0.9260 0.7313
0.5168 0.0740 0.2687
0.6025 0.2260 0.9925
0.0240 0.6020 0.3393
0.0914 0.8275 0.7911
0.1070 0.9001 0.1446
0.1847 0.3054 0.7641
0.3469 0.3824 0.3340
0.4750 0.4539 0.6660
0.5250 0.5461 0.3340
0.6531 0.6176 0.6660
0.8153 0.6946 0.2359
0.8930 0.0999 0.8554
0.9086 0.1725 0.2089
0.9760 0.3980 0.6607
0.3061 0.8350 0.8363
0.3173 0.9108 0.1477
0.6827 0.0892 0.8523
0.6939 0.1650 0.1637
0.1405 0.3373 0.6607
0.2096 0.6200 0.9870
0.2521 0.9692 0.6065
0.2878 0.2341 0.9496
0.3074 0.1780 0.3283
0.3312 0.4899 0.3071
0.6688 0.5101 0.6929
0.6926 0.8220 0.6717
0.7122 0.7659 0.0504
0.7479 0.0308 0.3935
0.7904 0.3800 0.0130
0.8595 0.6627 0.3393
```

Largest 10 diffraction maxima, by angle, 2θ = 10–80°:
index	2θ/deg	I/Imax
0 0 1	10.43	100.0
0 1 0	10.61	80.0
1 0 0	18.67	65.6
1 -1 1	24.05	30.5
1 1 -2	25.65	46.2
0 2 1	25.76	75.5
0 2 -2	26.55	71.2
-1 2 1	28.70	31.4
0 0 3	31.63	37.5
-1 2 2	34.11	38.4

7.
LaTiBi3: calculated XRD peak list (a wavelength of 1.5418 Å), based on a cell relaxed with PBE.
Neutral-atom scattering factors, no anomalous dispersion.

Cell and atoms:
```
LaTiBi3
1.0
13.7849 0.0000 0.0000
0.0000 6.6465 0.0000
0.0000 0.0000 6.4110
La Ti Bi
4 4 12
Direct
0.1885 0.0086 0.2500
0.1885 0.4914 0.7500
0.8115 0.5086 0.2500
0.8115 0.9914 0.7500
0.4090 0.7500 0.0000
0.4090 0.7500 0.5000
0.5910 0.2500 0.0000
0.5910 0.2500 0.5000
0.0028 0.7500 0.0000
0.0028 0.7500 0.5000
0.2732 0.5127 0.2500
0.2732 0.9873 0.7500
0.4312 0.1046 0.2500
0.4312 0.3954 0.7500
0.5688 0.6046 0.2500
0.5688 0.8954 0.7500
0.7268 0.0127 0.2500
0.7268 0.4873 0.7500
0.9972 0.2500 0.0000
0.9972 0.2500 0.5000
```

Largest 10 diffraction maxima, by angle, 2θ = 10–80°:
index	2θ/deg	I/Imax
4 0 0	25.85	22.0
3 1 1	27.39	63.5
1 0 2	28.59	37.5
2 2 0	29.85	72.4
2 0 2	30.76	42.9
4 1 1	32.43	100.0
0 2 2	39.04	63.3
4 2 2	47.42	20.7
4 1 3	52.21	22.4
2 4 2	64.61	28.5

8.
RbVAsI6: calculated XRD peak list (a wavelength of 1.5418 Å), based on a cell relaxed with PBE.
Neutral-atom scattering factors, no anomalous dispersion.

Cell and atoms:
```
RbVAsI6
1.0
7.4634 0.0000 0.0000
-3.7317 6.4635 0.0000
0.0000 0.0000 8.2590
Rb V As I
1 1 1 6
Direct
0.0000 0.0000 0.0000
0.3333 0.6667 0.5000
0.6667 0.3333 0.5000
0.0081 0.3758 0.6975
0.0081 0.6323 0.3025
0.3677 0.3758 0.3025
0.3677 0.9919 0.6975
0.6242 0.6323 0.6975
0.6242 0.9919 0.3025
```

Largest 10 diffraction maxima, by angle, 2θ = 10–80°:
index	2θ/deg	I/Imax
0 0 1	10.71	32.1
1 0 1	17.42	26.6
1 1 1	26.21	100.0
2 -1 2	32.33	65.7
3 -1 1	38.43	15.9
1 1 3	40.73	20.3
3 0 0	41.93	28.7
4 -2 1	50.12	11.7
1 1 4	50.52	17.3
3 1 1	52.22	12.3